1.
LiPt3Se5: computed XRD peak list (Cu Kα, 1.54184 Å), based on a structure optimized by DFT (PBE).
No peak broadening, texture or thermal motion is included.

a b c (Å): 6.3536 6.3536 6.6386
angles (deg): 90.00 90.00 120.00
Space group P6/mmm (No. 191)
Unique sites:
Li: 0.0000 0.0000 0.0000 (multiplicity 1)
Pt: 0.0000 0.5000 0.5000 (multiplicity 3)
Se: 0.0000 0.0000 0.5000 (multiplicity 1)
Se: 0.3333 0.6667 0.2484 (multiplicity 4)

Largest 10 diffraction maxima, in order of falling intensity, 5 to 70 degrees two-theta:
Position (°2θ)	Rel. int.	index
13.34	100	0 0 1
35.31	59	2 0 1
42.69	56	2 0 2
16.11	34	1 0 0
32.55	22	2 0 0
39.26	19	1 1 2
53.11	18	2 0 3
58.07	18	2 2 0
59.87	13	2 2 1
69.83	8	4 0 1

2.
TbY3C2Se2: computed XRD peak list (Cu Kα, 1.54184 Å), based on a structure optimized by DFT (PBE).
No peak broadening, texture or thermal motion is included.

a b c (Å): 3.7690 3.7690 13.3249
angles (deg): 90.00 90.00 120.00
Space group P3m1 (No. 156)
Unique sites:
Tb: 0.0000 0.0000 0.0000 (multiplicity 1)
Y: 0.0000 0.0000 0.2994 (multiplicity 1)
Y: 0.3333 0.6667 0.4999 (multiplicity 1)
Y: 0.3333 0.6667 0.7992 (multiplicity 1)
C: 0.6667 0.3333 0.3998 (multiplicity 1)
C: 0.6667 0.3333 0.8997 (multiplicity 1)
Se: 0.0000 0.0000 0.6497 (multiplicity 1)
Se: 0.3333 0.6667 0.1499 (multiplicity 1)

Largest 10 diffraction maxima, in order of falling intensity, 5 to 70 degrees two-theta:
Position (°2θ)	Rel. int.	index
34.09	100	0 1 3
27.32	28	1 0 0
48.29	28	1 1 0
60.43	19	2 0 3
64.89	15	1 1 6
6.63	11	0 0 1
49.65	11	1 0 6
40.62	10	0 0 6
28.15	7	1 0 1
69.75	6	0 1 9

3.
Mg2Cd2SnPb: computed XRD peak list (Cu Kα, 1.54184 Å), based on a structure optimized by DFT (PBE).
No peak broadening, texture or thermal motion is included.

a b c (Å): 11.864 4.843 11.866
angles (deg): 90.00 109.32 90.00
Space group Pm (No. 6)
Unique sites:
Mg: 0.000 0.000 0.000 (multiplicity 1)
Mg: 0.117 0.500 0.374 (multiplicity 1)
Mg: 0.242 0.000 0.745 (multiplicity 1)
Mg: 0.375 0.500 0.130 (multiplicity 1)
Mg: 0.496 0.000 0.502 (multiplicity 1)
Mg: 0.622 0.500 0.870 (multiplicity 1)
Mg: 0.746 0.000 0.251 (multiplicity 1)
Mg: 0.870 0.500 0.624 (multiplicity 1)
Cd: 0.127 0.500 0.130 (multiplicity 1)
Cd: 0.241 0.000 0.493 (multiplicity 1)
Cd: 0.371 0.500 0.875 (multiplicity 1)
Cd: 0.498 0.000 0.257 (multiplicity 1)
Cd: 0.625 0.500 0.623 (multiplicity 1)
Cd: 0.748 0.000 0.995 (multiplicity 1)
Cd: 0.870 0.500 0.378 (multiplicity 1)
Cd: 0.990 0.000 0.744 (multiplicity 1)
Sn: 0.248 0.000 0.249 (multiplicity 1)
Sn: 0.621 0.500 0.375 (multiplicity 1)
Sn: 0.744 0.000 0.748 (multiplicity 1)
Sn: 0.995 0.000 0.498 (multiplicity 1)
Pb: 0.119 0.500 0.874 (multiplicity 1)
Pb: 0.371 0.500 0.623 (multiplicity 1)
Pb: 0.498 0.000 0.002 (multiplicity 1)
Pb: 0.873 0.500 0.126 (multiplicity 1)

Largest 10 diffraction maxima, in order of falling intensity, 5 to 70 degrees two-theta:
Position (°2θ)	Rel. int.	index
37.11	100	0 2 0
22.48	83	1 1 1
43.82	44	3 2 -1
66.88	23	4 3 0
58.74	18	1 3 1
66.95	12	8 1 -4
53.54	12	4 2 -4
26.01	7	2 0 2
53.40	6	4 0 4
45.88	2	2 0 -6

4.
Rb2Hg2PtBr8: computed XRD peak list (Cu Kα, 1.54184 Å), based on a structure optimized by DFT (PBE).
No peak broadening, texture or thermal motion is included.

a b c (Å): 12.079 7.301 10.559
angles (deg): 90.00 108.64 90.00
Space group C2/m (No. 12)
Unique sites:
Rb: 0.104 0.000 0.331 (multiplicity 4)
Hg: 0.131 0.500 0.896 (multiplicity 4)
Pt: 0.000 0.500 0.500 (multiplicity 2)
Br: 0.088 0.500 0.188 (multiplicity 4)
Br: 0.131 0.263 0.633 (multiplicity 8)
Br: 0.151 0.000 0.003 (multiplicity 4)

Largest 10 diffraction maxima, in order of falling intensity, 5 to 70 degrees two-theta:
Position (°2θ)	Rel. int.	index
28.16	100	1 1 -3
14.39	76	1 1 0
26.28	51	2 0 -3
24.38	45	0 2 0
15.18	45	2 0 -1
31.40	39	2 2 -2
51.96	35	6 2 -2
43.35	34	4 2 1
31.26	34	4 0 0
36.82	33	2 2 2

5.
Tb3GdPb2N2: computed XRD peak list (Cu Kα, 1.54184 Å), based on a structure optimized by DFT (PBE).
No peak broadening, texture or thermal motion is included.

a b c (Å): 3.5703 3.5703 15.7546
angles (deg): 90.00 90.00 120.00
Space group P3m1 (No. 156)
Unique sites:
Tb: 0.0000 0.0000 0.0000 (multiplicity 1)
Tb: 0.0000 0.0000 0.3332 (multiplicity 1)
Tb: 0.3333 0.6667 0.4997 (multiplicity 1)
Gd: 0.3333 0.6667 0.8327 (multiplicity 1)
Pb: 0.0000 0.0000 0.6659 (multiplicity 1)
Pb: 0.3333 0.6667 0.1667 (multiplicity 1)
N: 0.6667 0.3333 0.4165 (multiplicity 1)
N: 0.6667 0.3333 0.9177 (multiplicity 1)

Largest 10 diffraction maxima, in order of falling intensity, 5 to 70 degrees two-theta:
Position (°2θ)	Rel. int.	index
33.64	100	1 0 3
28.88	22	1 0 0
51.17	22	1 1 0
62.96	21	1 1 6
34.15	20	0 0 6
60.81	19	1 0 9
62.64	17	2 0 3
45.31	16	0 1 6
59.82	3	2 0 0
29.44	1	1 0 1

6.
Sr2In4CuIr: computed XRD peak list (Cu Kα, 1.54184 Å), based on a structure optimized by DFT (PBE).
No peak broadening, texture or thermal motion is included.

a b c (Å): 7.926 4.474 11.205
angles (deg): 90.00 90.00 90.00
Space group Amm2 (No. 38)
Unique sites:
Sr: 0.000 0.000 0.000 (multiplicity 2)
Sr: 0.500 0.000 0.117 (multiplicity 2)
In: 0.196 0.000 0.715 (multiplicity 4)
In: 0.305 0.000 0.406 (multiplicity 4)
Cu: 0.500 0.000 0.835 (multiplicity 2)
Ir: 0.000 0.000 0.279 (multiplicity 2)

Largest 10 diffraction maxima, in order of falling intensity, 5 to 70 degrees two-theta:
Position (°2θ)	Rel. int.	index
31.19	100	2 1 1
33.23	55	1 1 3
40.46	49	3 1 1
40.32	37	0 2 0
15.82	37	0 0 2
38.76	36	2 1 3
33.94	32	1 0 4
39.39	23	2 0 4
37.64	19	3 0 2
53.69	17	1 2 4

7.
SmHoBrNCl2: computed XRD peak list (Cu Kα, 1.54184 Å), based on a structure optimized by DFT (PBE).
No peak broadening, texture or thermal motion is included.

a b c (Å): 17.684 3.873 11.314
angles (deg): 90.00 125.06 90.00
Space group C2/m (No. 12)
Unique sites:
Sm: 0.078 0.000 0.455 (multiplicity 4)
Ho: 0.140 0.500 0.792 (multiplicity 4)
Br: 0.228 0.500 0.628 (multiplicity 4)
N: 0.080 0.000 0.659 (multiplicity 4)
Cl: 0.030 0.500 0.245 (multiplicity 4)
Cl: 0.172 0.000 0.005 (multiplicity 4)

Largest 10 diffraction maxima, in order of falling intensity, 5 to 70 degrees two-theta:
Position (°2θ)	Rel. int.	index
10.32	100	2 0 -1
27.00	66	1 1 1
9.55	53	0 0 1
32.94	33	1 1 2
34.38	27	5 1 -2
32.54	27	6 0 -1
31.74	24	4 0 -4
28.36	22	1 1 -2
24.94	21	4 0 -3
36.20	20	5 1 -3

8.
SrYCuSi3: computed XRD peak list (Cu Kα, 1.54184 Å), based on a structure optimized by DFT (PBE).
No peak broadening, texture or thermal motion is included.

a b c (Å): 8.085 8.560 14.212
angles (deg): 90.00 90.00 90.00
Space group Fmmm (No. 69)
Unique sites:
Sr: 0.250 0.250 0.250 (multiplicity 8)
Y: 0.000 0.240 0.000 (multiplicity 8)
Cu: 0.000 0.000 0.334 (multiplicity 8)
Si: 0.000 0.000 0.164 (multiplicity 8)
Si: 0.244 0.000 0.418 (multiplicity 16)

Largest 10 diffraction maxima, in order of falling intensity, 5 to 70 degrees two-theta:
Position (°2θ)	Rel. int.	index
32.98	100	2 2 2
32.76	52	0 2 4
44.32	37	2 0 6
62.88	25	2 4 6
42.23	21	0 4 0
56.63	21	4 2 4
44.84	18	4 0 0
25.35	15	2 0 2
63.29	12	4 4 0
56.05	10	0 2 8

9.
DyHo2Co2Ni7: computed XRD peak list (Cu Kα, 1.54184 Å), based on a structure optimized by DFT (PBE).
No peak broadening, texture or thermal motion is included.

a b c (Å): 4.9274 4.9274 24.2802
angles (deg): 90.00 90.00 120.00
Space group R-3m (No. 166, hexagonal axes)
Unique sites:
Dy: 0.0000 0.0000 0.0000 (multiplicity 3)
Ho: 0.0000 0.0000 0.1387 (multiplicity 6)
Co: 0.0000 0.0000 0.3330 (multiplicity 6)
Ni: 0.0000 0.0000 0.5000 (multiplicity 3)
Ni: 0.0011 0.5006 0.9183 (multiplicity 18)

Largest 10 diffraction maxima, in order of falling intensity, 5 to 70 degrees two-theta:
Position (°2θ)	Rel. int.	index
42.99	100	1 1 6
33.28	52	1 0 7
36.47	52	1 1 0
36.32	42	0 1 8
42.53	38	0 2 1
65.58	24	3 0 0
63.62	16	2 1 7
46.49	14	2 0 5
46.31	14	0 1 11
69.90	13	2 0 14

10.
DyEr2Fe8Co: computed XRD peak list (Cu Kα, 1.54184 Å), based on a structure optimized by DFT (PBE).
No peak broadening, texture or thermal motion is included.

a b c (Å): 5.0384 5.0384 24.1265
angles (deg): 90.00 90.00 120.00
Space group R-3m (No. 166, hexagonal axes)
Unique sites:
Dy: 0.0000 0.0000 0.0000 (multiplicity 3)
Er: 0.0000 0.0000 0.1419 (multiplicity 6)
Fe: 0.0000 0.0000 0.3328 (multiplicity 6)
Fe: 0.9996 0.4998 0.0819 (multiplicity 18)
Co: 0.0000 0.0000 0.5000 (multiplicity 3)

Largest 10 diffraction maxima, in order of falling intensity, 5 to 70 degrees two-theta:
Position (°2θ)	Rel. int.	index
42.34	100	1 1 6
35.64	58	1 1 0
33.12	53	1 0 7
41.56	38	0 2 1
36.21	36	0 1 8
68.62	23	3 0 6
62.42	17	2 1 7
20.69	14	1 0 1
64.39	13	1 2 8
69.51	13	2 0 14

11.
Tc: computed XRD peak list (Cu Kα, 1.54184 Å), based on a structure optimized by DFT (PBE).
No peak broadening, texture or thermal motion is included.

a b c (Å): 2.730 2.730 3.895
angles (deg): 90.00 90.00 90.00
Space group I4/mmm (No. 139)
Unique sites:
Tc: 0.000 0.000 0.000 (multiplicity 2)

Largest 5 diffraction maxima, in order of falling intensity, 5 to 70 degrees two-theta:
Position (°2θ)	Rel. int.	index
40.35	100	1 0 1
47.08	32	1 1 0
68.44	20	1 1 2
46.64	16	0 0 2
68.78	10	2 0 0

12.
Li4GaSnPd2: computed XRD peak list (Cu Kα, 1.54184 Å), based on a structure optimized by DFT (PBE).
No peak broadening, texture or thermal motion is included.

a b c (Å): 4.394 4.394 6.221
angles (deg): 90.00 90.00 90.00
Space group P-4m2 (No. 115)
Unique sites:
Li: 0.000 0.000 0.000 (multiplicity 1)
Li: 0.000 0.500 0.232 (multiplicity 2)
Li: 0.500 0.500 0.500 (multiplicity 1)
Ga: 0.500 0.500 0.000 (multiplicity 1)
Sn: 0.000 0.000 0.500 (multiplicity 1)
Pd: 0.000 0.500 0.765 (multiplicity 2)

Largest 10 diffraction maxima, in order of falling intensity, 5 to 70 degrees two-theta:
Position (°2θ)	Rel. int.	index
24.81	100	1 0 1
41.07	95	2 0 0
48.57	48	2 1 1
65.44	19	3 0 1
59.48	16	2 2 0
32.20	3	1 1 1
20.21	2	1 0 0
35.35	2	1 0 2
61.49	1	2 0 3
55.30	1	2 1 2